1.
Computed X-ray diffraction stick pattern
Compound: CaSi3
Radiation: copper Kα
Structure: a DFT-relaxed cell (GGA-PBE, Alexandria)
Peak positions follow from Bragg's law for the DFT cell and can differ from measured ones.

Atomic structure:
```
4
Lattice="3.895 0.000 0.000 0.000 3.895 0.000 0.000 0.000 5.243" Properties=species:S:1:pos:R:3 pbc="T T T"
Ca 0.000 0.000 0.000
Si 0.000 1.948 2.415
Si 1.948 0.000 2.415
Si 1.948 1.948 3.951
```

The 12 most intense peaks (2θ = 10–90°), most intense first:
2.438 Å, 2θ 36.86, I 100
3.127 Å, 2θ 28.55, I 46
1.948 Å, 2θ 46.64, I 35
2.175 Å, 2θ 41.52, I 30
1.199 Å, 2θ 80.02, I 19
1.451 Å, 2θ 64.19, I 15
2.622 Å, 2θ 34.20, I 13
1.653 Å, 2θ 55.60, I 12
1.476 Å, 2θ 62.99, I 11
1.377 Å, 2θ 68.08, I 11
1.563 Å, 2θ 59.09, I 10
1.899 Å, 2θ 47.91, I 8



2.
Computed X-ray diffraction stick pattern
Compound: ZnSbO4
Radiation: copper Kα
Structure: a DFT-relaxed cell (GGA-PBE, Alexandria)
Peak positions follow from Bragg's law for the DFT cell and can differ from measured ones.

Atomic structure:
```
12
Lattice="5.245 0.000 0.000 0.000 4.667 0.000 0.000 0.000 5.710" Properties=species:S:1:pos:R:3 pbc="T T T"
Zn 0.000 0.000 0.000
Zn 0.000 2.333 2.855
Sb 2.623 0.000 1.827
Sb 2.623 2.333 4.682
O 0.888 0.988 1.614
O 0.888 1.345 4.469
O 1.799 3.463 3.194
O 1.799 3.538 0.339
O 3.446 1.129 0.339
O 3.446 1.204 3.194
O 4.357 3.322 4.469
O 4.357 3.679 1.614
```

The 12 most intense peaks (2θ = 10–90°), most intense first:
2.976 Å, 2θ 30.03, I 100
3.614 Å, 2θ 24.64, I 46
1.708 Å, 2θ 53.65, I 30
2.508 Å, 2θ 35.81, I 24
1.743 Å, 2θ 52.49, I 18
2.623 Å, 2θ 34.19, I 18
2.123 Å, 2θ 42.59, I 17
1.574 Å, 2θ 58.66, I 16
1.762 Å, 2θ 51.88, I 16
1.463 Å, 2θ 63.61, I 15
1.443 Å, 2θ 64.58, I 12
1.491 Å, 2θ 62.27, I 12



3.
Computed X-ray diffraction stick pattern
Compound: La7Tb3Ho
Radiation: copper Kα
Structure: a DFT-relaxed cell (GGA-PBE, Alexandria)
Peak positions follow from Bragg's law for the DFT cell and can differ from measured ones.

Atomic structure:
```
11
Lattice="-3.012 5.719 5.788 3.012 -5.719 5.788 3.012 5.719 -5.788" Properties=species:S:1:pos:R:3 pbc="T T T"
La 0.000 0.000 0.000
La 3.012 -2.218 3.343
La 3.012 3.308 0.000
La 3.012 2.218 3.343
La 0.000 3.501 2.445
La 0.000 2.411 5.788
La 0.000 7.938 2.445
Tb 0.000 0.000 3.414
Tb 0.000 5.719 0.000
Tb 0.000 0.000 8.162
Ho 3.012 0.000 0.000
```

The 12 most intense peaks (2θ = 10–90°), most intense first:
2.815 Å, 2θ 31.79, I 100
2.825 Å, 2θ 31.67, I 72
3.012 Å, 2θ 29.66, I 68
1.699 Å, 2θ 53.96, I 38
2.894 Å, 2θ 30.90, I 33
2.087 Å, 2θ 43.36, I 26
2.860 Å, 2θ 31.28, I 24
2.074 Å, 2θ 43.64, I 19
3.656 Å, 2θ 24.35, I 17
3.914 Å, 2θ 22.72, I 17
1.536 Å, 2θ 60.25, I 17
1.522 Å, 2θ 60.88, I 15



4.
Computed X-ray diffraction stick pattern
Compound: PuPa2As3
Radiation: copper Kα
Structure: a DFT-relaxed cell (GGA-PBE, Alexandria)
Peak positions follow from Bragg's law for the DFT cell and can differ from measured ones.

Atomic structure:
```
12
Lattice="3.554 -6.156 0.000 3.554 6.156 0.000 -2.370 0.000 6.716" Properties=species:S:1:pos:R:3 pbc="T T T"
Pu 3.554 4.108 0.000
Pu 3.554 -4.108 0.000
Pa -1.185 0.000 3.358
Pa 2.369 2.068 3.358
Pa 3.554 0.000 0.000
Pa 2.369 -2.068 3.358
As 0.006 2.042 5.029
As 1.198 0.000 1.698
As 0.006 -2.042 5.029
As 4.733 2.042 1.687
As 3.541 0.000 5.018
As 4.733 -2.042 1.687
```

The 12 most intense peaks (2θ = 10–90°), most intense first:
2.904 Å, 2θ 30.79, I 100
2.054 Å, 2θ 44.10, I 76
3.353 Å, 2θ 26.58, I 46
1.299 Å, 2θ 72.82, I 35
1.676 Å, 2θ 54.77, I 20
1.185 Å, 2θ 81.15, I 20
1.751 Å, 2θ 52.25, I 18
1.452 Å, 2θ 64.13, I 13
1.679 Å, 2θ 54.66, I 7
1.187 Å, 2θ 81.00, I 7
1.118 Å, 2θ 87.23, I 6
1.753 Å, 2θ 52.18, I 6



5.
Computed X-ray diffraction stick pattern
Compound: Dy5Y2Ho12
Radiation: copper Kα
Structure: a DFT-relaxed cell (GGA-PBE, Alexandria)
Peak positions follow from Bragg's law for the DFT cell and can differ from measured ones.

Atomic structure:
```
19
Lattice="6.121 0.000 0.000 -0.013 9.357 0.000 -1.027 -2.025 10.355" Properties=species:S:1:pos:R:3 pbc="T T T"
Dy 0.000 0.000 0.000
Dy -0.013 3.994 9.810
Dy 1.005 -0.676 5.997
Dy 4.076 8.008 4.358
Dy 5.094 3.338 0.545
Y 2.027 5.340 5.451
Y 3.055 1.992 4.904
Ho -0.002 1.334 3.264
Ho -0.018 2.661 6.547
Ho 1.013 7.355 2.720
Ho 1.007 0.650 9.261
Ho 2.035 4.008 2.167
Ho 2.022 6.668 8.727
Ho 3.059 0.664 1.628
Ho 3.047 3.324 8.188
Ho 4.074 6.682 1.093
Ho 4.068 -0.023 7.634
Ho 5.100 4.671 3.808
Ho 5.084 5.998 7.090
```

The 12 most intense peaks (2θ = 10–90°), most intense first:
2.885 Å, 2θ 31.00, I 100
2.499 Å, 2θ 35.94, I 67
2.889 Å, 2θ 30.95, I 33
1.508 Å, 2θ 61.50, I 33
1.768 Å, 2θ 51.70, I 32
1.506 Å, 2θ 61.58, I 24
1.765 Å, 2θ 51.79, I 16
1.442 Å, 2θ 64.62, I 12
1.147 Å, 2θ 84.47, I 10
1.118 Å, 2θ 87.15, I 9
1.117 Å, 2θ 87.25, I 9
1.146 Å, 2θ 84.59, I 8



6.
Computed X-ray diffraction stick pattern
Compound: Y6Al5Ag
Radiation: copper Kα
Structure: a DFT-relaxed cell (GGA-PBE, Alexandria)
Peak positions follow from Bragg's law for the DFT cell and can differ from measured ones.

Atomic structure:
```
12
Lattice="2.562 -7.690 0.000 2.562 7.690 0.000 0.000 0.000 7.236" Properties=species:S:1:pos:R:3 pbc="T T T"
Y 0.000 0.000 1.805
Y 0.000 0.000 5.431
Y 2.562 2.563 1.808
Y 2.562 2.563 5.428
Y 2.562 -2.563 1.808
Y 2.562 -2.563 5.428
Al 2.562 5.159 3.618
Al 2.562 5.128 0.000
Al 2.562 0.000 0.000
Al 2.562 -5.128 0.000
Al 2.562 -5.159 3.618
Ag 2.562 0.000 3.618
```

The 12 most intense peaks (2θ = 10–90°), most intense first:
2.561 Å, 2θ 35.04, I 100
1.479 Å, 2θ 62.85, I 35
3.622 Å, 2θ 24.58, I 18
1.811 Å, 2θ 50.39, I 17
1.281 Å, 2θ 74.03, I 11
1.146 Å, 2θ 84.56, I 10
1.620 Å, 2θ 56.84, I 7
2.091 Å, 2θ 43.26, I 5
1.144 Å, 2θ 84.71, I 5
1.207 Å, 2θ 79.36, I 3
7.690 Å, 2θ 11.51, I 3
4.035 Å, 2θ 22.03, I 3



7.
Computed X-ray diffraction stick pattern
Compound: Pm5DyZn6
Radiation: copper Kα
Structure: a DFT-relaxed cell (GGA-PBE, Alexandria)
Peak positions follow from Bragg's law for the DFT cell and can differ from measured ones.

Atomic structure:
```
12
Lattice="5.141 0.000 0.000 0.000 7.294 0.000 -2.550 0.000 7.735" Properties=species:S:1:pos:R:3 pbc="T T T"
Pm 0.000 0.000 0.000
Pm 0.014 0.000 5.137
Pm 0.014 3.647 5.169
Pm 2.577 3.647 2.565
Pm 2.577 0.000 2.598
Dy 0.000 3.647 0.000
Zn 0.006 1.851 2.536
Zn 0.006 5.443 2.536
Zn 2.570 1.866 0.000
Zn 2.570 5.429 0.000
Zn 2.584 1.851 5.198
Zn 2.584 5.443 5.198
```

The 12 most intense peaks (2θ = 10–90°), most intense first:
2.577 Å, 2θ 34.81, I 100
1.488 Å, 2θ 62.40, I 29
2.570 Å, 2θ 34.91, I 20
3.643 Å, 2θ 24.44, I 18
1.485 Å, 2θ 62.54, I 14
1.823 Å, 2θ 50.03, I 14
1.153 Å, 2θ 83.91, I 11
1.818 Å, 2θ 50.18, I 7
1.289 Å, 2θ 73.46, I 7
2.103 Å, 2θ 43.01, I 6
1.630 Å, 2θ 56.44, I 5
1.150 Å, 2θ 84.21, I 5



8.
Computed X-ray diffraction stick pattern
Compound: TmBeCo2
Radiation: copper Kα
Structure: a DFT-relaxed cell (GGA-PBE, Alexandria)
Peak positions follow from Bragg's law for the DFT cell and can differ from measured ones.

Atomic structure:
```
16
Lattice="4.703 0.000 0.000 0.000 4.376 0.000 0.000 0.000 11.335" Properties=species:S:1:pos:R:3 pbc="T T T"
Tm 1.176 0.000 1.071
Tm 1.176 2.188 3.527
Tm 3.527 0.000 10.264
Tm 3.527 2.188 7.809
Be 1.176 0.000 7.495
Be 1.176 2.188 6.231
Be 3.527 0.000 3.840
Be 3.527 2.188 5.104
Co 0.000 0.000 5.668
Co 0.000 2.188 0.000
Co 1.176 1.103 9.379
Co 1.176 3.273 9.379
Co 2.351 0.000 5.668
Co 2.351 2.188 0.000
Co 3.527 1.103 1.956
Co 3.527 3.273 1.956
```

The 12 most intense peaks (2θ = 10–90°), most intense first:
2.789 Å, 2θ 32.09, I 100
2.427 Å, 2θ 37.04, I 72
2.860 Å, 2θ 31.28, I 64
1.954 Å, 2θ 46.47, I 58
2.038 Å, 2θ 44.46, I 57
2.444 Å, 2θ 36.78, I 51
3.464 Å, 2θ 25.72, I 36
4.344 Å, 2θ 20.45, I 33
2.351 Å, 2θ 38.28, I 25
1.308 Å, 2θ 72.21, I 21
2.188 Å, 2θ 41.26, I 20
2.172 Å, 2θ 41.58, I 20



9.
Computed X-ray diffraction stick pattern
Compound: Zr6HN
Radiation: copper Kα
Structure: a DFT-relaxed cell (GGA-PBE, Alexandria)
Peak positions follow from Bragg's law for the DFT cell and can differ from measured ones.

Atomic structure:
```
16
Lattice="5.675 0.000 0.000 -2.838 4.915 0.000 0.000 0.000 10.473" Properties=species:S:1:pos:R:3 pbc="T T T"
Zr -0.925 1.686 1.294
Zr -1.840 3.271 3.943
Zr 0.925 1.686 3.943
Zr -0.915 4.873 1.294
Zr 1.923 0.042 6.531
Zr 0.998 1.644 9.179
Zr 1.840 3.271 1.294
Zr 0.915 4.873 3.943
Zr 3.752 0.042 9.179
Zr 1.913 3.229 6.531
Zr 4.677 1.644 6.531
Zr 3.762 3.229 9.179
H 0.000 0.000 0.000
H 0.000 0.000 5.237
N 0.000 3.277 2.618
N 2.838 1.638 7.855
```

The 12 most intense peaks (2θ = 10–90°), most intense first:
2.495 Å, 2θ 36.00, I 100
2.618 Å, 2θ 34.25, I 24
2.838 Å, 2θ 31.53, I 21
1.389 Å, 2θ 67.43, I 19
1.487 Å, 2θ 62.47, I 19
1.638 Å, 2θ 56.14, I 19
1.924 Å, 2θ 47.23, I 17
1.369 Å, 2θ 68.52, I 14
1.101 Å, 2θ 88.89, I 7
1.247 Å, 2θ 76.34, I 4
1.309 Å, 2θ 72.15, I 3
1.189 Å, 2θ 80.86, I 3



10.
Computed X-ray diffraction stick pattern
Compound: Na2Li9Ca
Radiation: copper Kα
Structure: a DFT-relaxed cell (GGA-PBE, Alexandria)
Peak positions follow from Bragg's law for the DFT cell and can differ from measured ones.

Atomic structure:
```
12
Lattice="2.998 1.731 9.701 -2.998 1.731 9.701 0.000 -3.462 9.701" Properties=species:S:1:pos:R:3 pbc="T T T"
Na 0.000 0.000 4.136
Na 0.000 0.000 24.966
Li -1.507 -0.870 12.086
Li 0.000 0.000 9.723
Li 0.000 -1.741 17.015
Li -1.507 0.870 17.015
Li 0.000 0.000 14.551
Li 1.507 -0.870 12.086
Li 0.000 1.741 12.086
Li 0.000 0.000 19.378
Li 1.507 0.870 17.015
Ca 0.000 0.000 0.000
```

The 12 most intense peaks (2θ = 10–90°), most intense first:
2.551 Å, 2θ 35.18, I 100
5.112 Å, 2θ 17.35, I 82
3.245 Å, 2θ 27.48, I 75
2.998 Å, 2θ 29.80, I 70
2.979 Å, 2θ 29.99, I 48
2.586 Å, 2θ 34.68, I 39
1.630 Å, 2θ 56.46, I 34
4.850 Å, 2θ 18.29, I 27
1.775 Å, 2θ 51.49, I 24
4.891 Å, 2θ 18.14, I 19
2.200 Å, 2θ 41.02, I 17
1.727 Å, 2θ 53.01, I 17



Repeat the fifth record exactly.
Computed X-ray diffraction stick pattern
Compound: Dy5Y2Ho12
Radiation: copper Kα
Structure: a DFT-relaxed cell (GGA-PBE, Alexandria)
Peak positions follow from Bragg's law for the DFT cell and can differ from measured ones.

Atomic structure:
```
19
Lattice="6.121 0.000 0.000 -0.013 9.357 0.000 -1.027 -2.025 10.355" Properties=species:S:1:pos:R:3 pbc="T T T"
Dy 0.000 0.000 0.000
Dy -0.013 3.994 9.810
Dy 1.005 -0.676 5.997
Dy 4.076 8.008 4.358
Dy 5.094 3.338 0.545
Y 2.027 5.340 5.451
Y 3.055 1.992 4.904
Ho -0.002 1.334 3.264
Ho -0.018 2.661 6.547
Ho 1.013 7.355 2.720
Ho 1.007 0.650 9.261
Ho 2.035 4.008 2.167
Ho 2.022 6.668 8.727
Ho 3.059 0.664 1.628
Ho 3.047 3.324 8.188
Ho 4.074 6.682 1.093
Ho 4.068 -0.023 7.634
Ho 5.100 4.671 3.808
Ho 5.084 5.998 7.090
```

The 12 most intense peaks (2θ = 10–90°), most intense first:
2.885 Å, 2θ 31.00, I 100
2.499 Å, 2θ 35.94, I 67
2.889 Å, 2θ 30.95, I 33
1.508 Å, 2θ 61.50, I 33
1.768 Å, 2θ 51.70, I 32
1.506 Å, 2θ 61.58, I 24
1.765 Å, 2θ 51.79, I 16
1.442 Å, 2θ 64.62, I 12
1.147 Å, 2θ 84.47, I 10
1.118 Å, 2θ 87.15, I 9
1.117 Å, 2θ 87.25, I 9
1.146 Å, 2θ 84.59, I 8